# Ho3S2N
Computed X-ray diffraction stick pattern, Cu Kα. Input: a DFT-relaxed cell (PBE, OQMD).

Top 6 peaks for 15° ≤ 2θ ≤ 90°, in order of falling intensity:
| 2theta | I (rel.) |
| --- | --- |
| 33.98 | 100.0 |
| 29.66 | 77.7 |
| 47.90 | 37.6 |
| 49.72 | 35.5 |
| 28.24 | 21.8 |
| 71.55 | 18.9 |

a = 3.6676 Å, b = 3.6676 Å, c = 9.4798 Å
α = 90.00°, β = 90.00°, γ = 120.00°
Positions (direct):
Ho1 0.0000 0.0000 0.0000
Ho2 0.3333 0.6667 0.3648
Ho3 0.6667 0.3333 0.6352
S1 0.3333 0.6667 0.8211
S2 0.6667 0.3333 0.1789
N1 0.0000 0.0000 0.5000

# Ho3TmSn2N2
Computed X-ray diffraction stick pattern, Cu Kα. Input: a DFT-relaxed cell (PBE, OQMD).

Top 6 peaks for 15° ≤ 2θ ≤ 90°, in order of falling intensity:
| 2theta | I (rel.) |
| --- | --- |
| 34.45 | 100.0 |
| 29.48 | 22.0 |
| 52.29 | 21.7 |
| 64.67 | 20.9 |
| 35.30 | 19.5 |
| 62.81 | 17.8 |

a = 3.4993 Å, b = 3.4993 Å, c = 15.2560 Å
α = 90.00°, β = 90.00°, γ = 120.00°
Positions (direct):
Ho1 0.0000 0.0000 0.0000
Ho2 0.0000 0.0000 0.3295
Ho3 0.3333 0.6667 0.5008
Tm1 0.3333 0.6667 0.8302
Sn1 0.0000 0.0000 0.6663
Sn2 0.3333 0.6667 0.1646
N1 0.6667 0.3333 0.4151
N2 0.6667 0.3333 0.9127

# HoTmSnN
Computed X-ray diffraction stick pattern, Cu Kα. Input: a DFT-relaxed cell (PBE, OQMD).

Top 6 peaks for 15° ≤ 2θ ≤ 90°, in order of falling intensity:
| 2theta | I (rel.) |
| --- | --- |
| 34.56 | 100.0 |
| 29.57 | 22.0 |
| 52.46 | 21.7 |
| 64.89 | 20.9 |
| 35.40 | 19.5 |
| 63.02 | 17.7 |

a = 3.4886 Å, b = 3.4886 Å, c = 15.2119 Å
α = 90.00°, β = 90.00°, γ = 120.00°
Positions (direct):
Ho1 0.3333 0.6667 0.0860
Ho2 0.6667 0.3333 0.9140
Tm1 0.3333 0.6667 0.4156
Tm2 0.6667 0.3333 0.5844
Sn1 0.3333 0.6667 0.7481
Sn2 0.6667 0.3333 0.2519
N1 0.0000 0.0000 0.0000
N2 0.0000 0.0000 0.5000

# Na2HoO4
Computed X-ray diffraction stick pattern, Cu Kα. Input: a DFT-relaxed cell (PBE, OQMD).

Top 6 peaks for 15° ≤ 2θ ≤ 90°, in order of falling intensity:
| 2theta | I (rel.) |
| --- | --- |
| 26.53 | 100.0 |
| 31.21 | 96.3 |
| 16.15 | 62.0 |
| 46.83 | 43.1 |
| 54.63 | 36.1 |
| 49.86 | 35.7 |

a = 6.7205 Å, b = 6.7205 Å, c = 6.7205 Å
α = 60.00°, β = 60.00°, γ = 60.00°
Positions (direct):
Na1 0.0000 0.0000 0.0000
Na2 0.0000 0.0000 0.5000
Na3 0.0000 0.5000 0.0000
Na4 0.5000 0.0000 0.0000
Ho1 0.3750 0.3750 0.3750
Ho2 0.6250 0.6250 0.6250
O1 0.2402 0.7533 0.7533
O2 0.2467 0.2467 0.2467
O3 0.2467 0.2467 0.7598
O4 0.2467 0.7598 0.2467
O5 0.7533 0.2402 0.7533
O6 0.7533 0.7533 0.2402
O7 0.7533 0.7533 0.7533
O8 0.7598 0.2467 0.2467

# NaHo2OsO6
Computed X-ray diffraction stick pattern, Cu Kα. Input: a DFT-relaxed cell (PBE, OQMD).

Top 6 peaks for 15° ≤ 2θ ≤ 90°, in order of falling intensity:
| 2theta | I (rel.) |
| --- | --- |
| 31.98 | 100.0 |
| 32.66 | 96.5 |
| 19.11 | 55.5 |
| 33.48 | 44.2 |
| 30.98 | 34.7 |
| 20.37 | 30.1 |

a = 5.3544 Å, b = 5.7724 Å, c = 9.3538 Å
α = 90.00°, β = 123.29°, γ = 90.00°
Positions (direct):
Na1 0.0000 0.0000 0.0000
Na2 0.0000 0.5000 0.5000
Ho1 0.2168 0.0746 0.7432
Ho2 0.2168 0.4254 0.2432
Ho3 0.7832 0.5746 0.7568
Ho4 0.7832 0.9254 0.2568
Os1 0.5000 0.0000 0.5000
Os2 0.5000 0.5000 0.0000
O1 0.1399 0.1732 0.4418
O2 0.1399 0.3268 0.9418
O3 0.2559 0.7127 0.4164
O4 0.2559 0.7873 0.9164
O5 0.4138 0.0689 0.2695
O6 0.4138 0.4311 0.7695
O7 0.5862 0.5689 0.2305
O8 0.5862 0.9311 0.7305
O9 0.7441 0.2127 0.0836
O10 0.7441 0.2873 0.5836
O11 0.8601 0.6732 0.0582
O12 0.8601 0.8268 0.5582

# NaHoPd6O8
Computed X-ray diffraction stick pattern, Cu Kα. Input: a DFT-relaxed cell (PBE, OQMD).

Top 6 peaks for 15° ≤ 2θ ≤ 90°, in order of falling intensity:
| 2theta | I (rel.) |
| --- | --- |
| 34.75 | 100.0 |
| 38.19 | 61.3 |
| 59.96 | 32.5 |
| 57.57 | 24.0 |
| 75.47 | 20.3 |
| 15.35 | 18.8 |

a = 5.7727 Å, b = 5.7727 Å, c = 5.7727 Å
α = 90.00°, β = 90.00°, γ = 90.00°
Positions (direct):
Na1 0.0000 0.0000 0.0000
Ho1 0.5000 0.5000 0.5000
Pd1 0.0000 0.5000 0.2488
Pd2 0.0000 0.5000 0.7512
Pd3 0.2488 0.0000 0.5000
Pd4 0.5000 0.2488 0.0000
Pd5 0.5000 0.7512 0.0000
Pd6 0.7512 0.0000 0.5000
O1 0.2600 0.2600 0.2600
O2 0.2600 0.2600 0.7400
O3 0.2600 0.7400 0.2600
O4 0.2600 0.7400 0.7400
O5 0.7400 0.2600 0.2600
O6 0.7400 0.2600 0.7400
O7 0.7400 0.7400 0.2600
O8 0.7400 0.7400 0.7400

# NaHoSO
Computed X-ray diffraction stick pattern, Cu Kα. Input: a DFT-relaxed cell (PBE, OQMD).

Top 6 peaks for 15° ≤ 2θ ≤ 90°, in order of falling intensity:
| 2theta | I (rel.) |
| --- | --- |
| 30.30 | 100.0 |
| 29.36 | 50.9 |
| 28.76 | 45.4 |
| 35.34 | 41.0 |
| 37.33 | 39.6 |
| 33.36 | 35.7 |

a = 6.7788 Å, b = 7.2226 Å, c = 6.2556 Å
α = 90.00°, β = 103.71°, γ = 90.00°
Positions (direct):
Na1 0.0855 0.2462 0.4924
Na2 0.0855 0.2538 0.9924
Na3 0.9145 0.7462 0.0076
Na4 0.9145 0.7538 0.5076
Ho1 0.4611 0.6241 0.7655
Ho2 0.4611 0.8759 0.2655
Ho3 0.5389 0.1241 0.7345
Ho4 0.5389 0.3759 0.2345
S1 0.2185 0.5855 0.3370
S2 0.2185 0.9145 0.8370
S3 0.7815 0.0855 0.1630
S4 0.7815 0.4145 0.6630
O1 0.3839 0.1528 0.3827
O2 0.3839 0.3472 0.8827
O3 0.6161 0.6528 0.1173
O4 0.6161 0.8472 0.6173